For Ba2MgAl2Fe8O14, a structure optimized by DFT (GGA+U) gives the calculated XRD peak list in this record (Cu Kα (weighted mean of Kα1 and Kα2)).
Peak positions follow from Bragg's law for the DFT cell and can differ from measured ones.

Peak list (10 most intense, 10° ≤ 2θ ≤ 90°, sorted by position)
2θ (°), I_rel
17.82, 436
29.65, 599
31.06, 665
33.12, 498
33.25, 670
34.93, 621
35.11, 869
35.70, 1000
36.92, 514
37.49, 492

Atomic structure:
```
data_Ba2MgAl2Fe8O14
_chemical_formula_sum 'Ba2 Mg1 Al2 Fe8 O14'
_cell_length_a 6.1198
_cell_length_b 6.2173
_cell_length_c 10.2900
_cell_angle_alpha 92.97
_cell_angle_beta 93.48
_cell_angle_gamma 119.10
_space_group_name_H-M_alt 'P 1'
_space_group_IT_number 1
_space_group_name_Hall 'P 1'
loop_
_atom_site_label
_atom_site_type_symbol
_atom_site_fract_x
_atom_site_fract_y
_atom_site_fract_z
Ba1 Ba 0.0000 0.0000 0.0000
Ba2 Ba 0.2774 0.6014 0.5831
Mg1 Mg 0.8853 0.5733 0.1877
Al1 Al 0.3729 0.5886 0.1582
Al2 Al 0.9744 0.9359 0.6688
Fe1 Fe 0.0411 0.5096 0.8845
Fe2 Fe 0.3361 0.0872 0.3730
Fe3 Fe 0.4831 0.4867 0.8696
Fe4 Fe 0.5050 0.9830 0.8425
Fe5 Fe 0.5317 0.0956 0.1240
Fe6 Fe 0.6635 0.2513 0.6086
Fe7 Fe 0.6758 0.6153 0.4031
Fe8 Fe 0.9144 0.1448 0.3533
O1 O 0.0294 0.4153 0.0702
O2 O 0.1399 0.2705 0.7748
O3 O 0.1413 0.8188 0.7934
O4 O 0.2550 0.8248 0.2297
O5 O 0.2727 0.0525 0.5551
O6 O 0.2824 0.4001 0.3181
O7 O 0.4750 0.7967 0.0115
O8 O 0.4968 0.3911 0.0687
O9 O 0.6771 0.3207 0.8037
O10 O 0.6914 0.8157 0.7744
O11 O 0.7031 0.3072 0.3042
O12 O 0.7300 0.7964 0.2414
O13 O 0.8000 0.0341 0.5336
O14 O 0.8315 0.6121 0.5683
```